(1)
The following is a computed powder XRD pattern of Li7Mn2Co3O12. It was derived from the GGA+U geometry in the Materials Project, using Cu Kα.

The 12 most intense peaks (10° ≤ 2θ ≤ 90°), most intense first:
Position (°2θ)  d_spacing  I (rel.)
18.24  4.863  100
43.45  2.083  58
36.05  2.491  38
43.77  2.068  27
63.03  1.475  16
63.72  1.461  14
57.12  1.612  10
63.82  1.458  8
47.74  1.905  8
62.42  1.488  8
12.76  6.937  7
80.60  1.192  7

Structural model:
```
Li7Mn2Co3O12
1.0
7.594 -1.458 0.000
7.594 1.458 0.000
-3.263 0.000 9.726
Li Mn Co O
7 2 3 12
direct
0.000 0.000 0.000
0.001 0.001 0.508
0.165 0.165 0.754
0.327 0.327 0.994
0.330 0.330 0.503
0.661 0.661 0.985
0.662 0.662 0.511
0.827 0.827 0.753
0.830 0.830 0.251
0.156 0.156 0.252
0.501 0.501 0.249
0.505 0.505 0.744
0.071 0.071 0.864
0.083 0.083 0.372
0.256 0.256 0.143
0.257 0.257 0.640
0.403 0.403 0.362
0.406 0.406 0.858
0.571 0.571 0.629
0.586 0.586 0.127
0.747 0.747 0.360
0.754 0.754 0.868
0.913 0.913 0.142
0.915 0.915 0.642
```

---

(2)
The following is a computed powder XRD pattern of Li5Mn2CoO8. It was derived from the GGA+U geometry in the Materials Project, using Cu Kα.

The 12 most intense peaks (10° ≤ 2θ ≤ 90°), most intense first:
Position (°2θ)  d_spacing  I (rel.)
18.49  4.800  100
44.13  2.052  32
43.64  2.074  31
43.98  2.059  29
36.14  2.485  24
63.69  1.461  15
19.00  4.670  14
36.49  2.462  12
58.10  1.588  9
17.84  4.972  9
64.52  1.444  9
63.93  1.456  8

Structural model:
```
Li5Mn2CoO8
1.0
2.889 0.000 0.000
-1.404 4.882 0.000
-1.315 -1.174 19.887
Li Mn Co O
10 4 2 16
direct
0.045 0.313 0.303
0.194 0.944 0.939
0.260 0.252 0.753
0.317 0.553 0.565
0.438 0.184 0.194
0.562 0.816 0.806
0.683 0.447 0.435
0.740 0.748 0.247
0.806 0.056 0.061
0.955 0.687 0.697
0.116 0.616 0.126
0.367 0.887 0.369
0.633 0.113 0.631
0.884 0.384 0.874
0.000 0.000 0.500
0.500 0.500 0.000
0.003 0.134 0.404
0.081 0.466 0.208
0.134 0.745 0.030
0.252 0.135 0.851
0.267 0.364 0.654
0.332 0.744 0.466
0.399 0.032 0.287
0.479 0.370 0.090
0.521 0.630 0.910
0.601 0.968 0.713
0.668 0.256 0.534
0.733 0.636 0.346
0.748 0.865 0.149
0.866 0.255 0.970
0.919 0.534 0.792
0.997 0.866 0.596
```

---

(3)
The following is a computed powder XRD pattern of Li4MnCo2O7. It was derived from the GGA+U geometry in the Materials Project, using Cu Kα.

The 12 most intense peaks (10° ≤ 2θ ≤ 90°), most intense first:
Position (°2θ)  d_spacing  I (rel.)
18.25  4.862  100
42.77  2.114  29
43.36  2.087  28
43.92  2.062  26
62.66  1.483  15
35.80  2.508  14
35.42  2.534  14
36.20  2.481  12
62.40  1.488  8
63.84  1.458  8
63.00  1.475  7
37.36  2.407  7

Structural model:
```
Li4MnCo2O7
1.0
5.094 0.000 0.000
1.691 4.862 0.000
2.352 0.178 10.284
Li Mn Co O
8 2 4 14
direct
0.000 0.000 0.000
0.063 0.499 0.865
0.128 0.996 0.730
0.277 0.998 0.439
0.434 0.991 0.145
0.562 0.998 0.865
0.705 0.000 0.584
0.848 0.996 0.292
0.494 0.491 0.005
0.779 0.499 0.436
0.203 0.496 0.590
0.353 0.495 0.294
0.635 0.507 0.728
0.927 0.495 0.141
0.026 0.716 0.437
0.075 0.280 0.299
0.201 0.716 0.147
0.254 0.270 0.015
0.334 0.729 0.872
0.387 0.270 0.711
0.476 0.723 0.569
0.538 0.276 0.428
0.610 0.725 0.301
0.663 0.265 0.146
0.735 0.717 0.019
0.780 0.267 0.875
0.879 0.729 0.717
0.945 0.270 0.572
```

---

(4)
The following is a computed powder XRD pattern of Li7Mn2Co3O12. It was derived from the GGA+U geometry in the Materials Project, using Cu Kα.

The 12 most intense peaks (10° ≤ 2θ ≤ 90°), most intense first:
Position (°2θ)  d_spacing  I (rel.)
18.41  4.820  100
44.54  2.034  54
42.44  2.130  32
36.73  2.447  24
35.26  2.545  17
63.03  1.475  16
63.38  1.467  15
58.55  1.577  10
47.79  1.903  9
64.03  1.454  7
65.59  1.423  7
81.30  1.183  7

Structural model:
```
Li7Mn2Co3O12
1.0
4.984 0.000 0.000
2.332 4.404 0.000
1.839 -0.293 9.640
Li Mn Co O
7 2 3 12
direct
0.000 0.000 0.000
0.080 0.331 0.752
0.164 0.657 0.504
0.325 0.337 0.000
0.492 0.999 0.507
0.667 0.657 0.996
0.830 0.339 0.504
0.245 0.999 0.252
0.747 0.999 0.752
0.413 0.665 0.752
0.581 0.331 0.252
0.913 0.664 0.251
0.035 0.697 0.861
0.131 0.961 0.641
0.227 0.315 0.370
0.262 0.680 0.137
0.397 0.974 0.864
0.482 0.324 0.642
0.569 0.637 0.365
0.601 0.022 0.137
0.673 0.346 0.861
0.759 0.685 0.639
0.890 0.977 0.368
0.928 0.357 0.133
```

---

(5)
The following is a computed powder XRD pattern of Li6Mn5CoO12. It was derived from the GGA+U geometry in the Materials Project, using Cu Kα.

The 12 most intense peaks (10° ≤ 2θ ≤ 90°), most intense first:
Position (°2θ)  d_spacing  I (rel.)
17.66  5.021  100
48.40  1.881  23
42.09  2.147  21
34.01  2.636  19
38.34  2.348  16
54.59  1.681  15
33.50  2.675  14
60.38  1.533  12
41.89  2.157  12
35.82  2.507  11
43.13  2.097  8
61.44  1.509  8

Structural model:
```
Li6Mn5CoO12
1.0
5.062 0.000 0.000
2.068 4.624 0.000
0.005 2.604 20.083
Li Mn Co O
12 10 2 24
direct
0.037 0.089 0.119
0.040 0.592 0.620
0.237 0.304 0.877
0.287 0.753 0.380
0.371 0.916 0.621
0.372 0.423 0.119
0.628 0.577 0.881
0.629 0.084 0.379
0.713 0.247 0.620
0.763 0.696 0.123
0.960 0.408 0.380
0.963 0.911 0.881
0.163 0.920 0.249
0.172 0.412 0.749
0.331 0.830 0.000
0.333 0.332 0.500
0.496 0.253 0.249
0.504 0.747 0.751
0.667 0.668 0.500
0.669 0.170 0.000
0.828 0.588 0.251
0.837 0.080 0.751
0.000 0.000 0.500
0.000 0.500 0.000
0.050 0.763 0.057
0.051 0.257 0.556
0.143 0.588 0.307
0.147 0.086 0.807
0.182 0.254 0.192
0.190 0.747 0.694
0.277 0.069 0.444
0.282 0.569 0.943
0.336 0.148 0.048
0.383 0.598 0.557
0.475 0.923 0.306
0.479 0.417 0.807
0.521 0.583 0.193
0.525 0.077 0.694
0.617 0.402 0.443
0.664 0.852 0.952
0.718 0.431 0.057
0.723 0.931 0.556
0.810 0.253 0.306
0.818 0.746 0.808
0.853 0.914 0.193
0.857 0.412 0.693
0.949 0.743 0.444
0.950 0.237 0.943
```

---

(6)
The following is a computed powder XRD pattern of Li5Mn2CoO8. It was derived from the GGA+U geometry in the Materials Project, using Cu Kα.

The 12 most intense peaks (10° ≤ 2θ ≤ 90°), most intense first:
Position (°2θ)  d_spacing  I (rel.)
18.26  4.860  100
43.82  2.066  51
42.96  2.106  26
36.32  2.474  22
63.11  1.473  14
62.96  1.476  13
35.40  2.535  12
57.54  1.602  10
27.51  3.242  9
17.49  5.070  9
56.79  1.621  7
64.83  1.438  7

Structural model:
```
Li5Mn2CoO8
1.0
5.146 0.000 0.000
0.000 2.876 0.000
-1.681 0.000 9.722
Li Mn Co O
5 2 1 8
direct
0.000 0.000 0.000
0.208 0.500 0.218
0.256 0.000 0.765
0.744 0.000 0.235
0.792 0.500 0.782
0.000 0.500 0.500
0.500 0.500 0.000
0.500 0.000 0.500
0.099 0.000 0.386
0.160 0.500 0.885
0.358 0.500 0.602
0.385 0.000 0.112
0.615 0.000 0.888
0.642 0.500 0.398
0.840 0.500 0.115
0.901 0.000 0.614
```

---

(7)
The following is a computed powder XRD pattern of Li6Mn3CoO10. It was derived from the GGA+U geometry in the Materials Project, using Cu Kα.

The 12 most intense peaks (10° ≤ 2θ ≤ 90°), most intense first:
Position (°2θ)  d_spacing  I (rel.)
18.41  4.820  100
43.08  2.100  30
44.05  2.056  30
44.46  2.038  28
63.11  1.473  15
35.78  2.509  13
36.33  2.473  12
36.69  2.450  12
14.11  6.278  9
63.51  1.465  8
63.91  1.457  8
64.15  1.452  8

Structural model:
```
Li6Mn3CoO10
1.0
5.028 0.000 0.000
-1.696 5.575 0.000
-0.974 -1.926 6.278
Li Mn Co O
6 3 1 10
direct
0.000 0.000 0.000
0.004 0.501 0.000
0.192 0.404 0.407
0.395 0.801 0.819
0.616 0.202 0.194
0.807 0.600 0.610
0.201 0.898 0.402
0.400 0.302 0.810
0.600 0.701 0.201
0.801 0.103 0.610
0.096 0.979 0.715
0.103 0.423 0.704
0.329 0.846 0.113
0.333 0.365 0.095
0.496 0.235 0.528
0.511 0.760 0.485
0.679 0.638 0.919
0.686 0.152 0.878
0.893 0.038 0.320
0.903 0.578 0.309
```

---

(8)
The following is a computed powder XRD pattern of Li7Mn4CoO12. It was derived from the GGA+U geometry in the Materials Project, using Cu Kα.

The 12 most intense peaks (10° ≤ 2θ ≤ 90°), most intense first:
Position (°2θ)  d_spacing  I (rel.)
18.38  4.828  100
41.64  2.169  33
44.24  2.047  28
44.40  2.040  28
34.53  2.598  17
62.59  1.484  16
36.49  2.462  12
36.35  2.471  11
47.38  1.919  9
62.15  1.493  8
62.40  1.488  8
17.07  5.196  7

Structural model:
```
Li7Mn4CoO12
1.0
5.076 0.000 0.000
-0.130 5.983 0.000
-2.278 -1.894 7.162
Li Mn Co O
7 4 1 12
direct
0.000 0.000 0.000
0.483 0.584 0.323
0.484 0.246 0.000
0.494 0.085 0.326
0.506 0.915 0.674
0.516 0.754 0.000
0.517 0.416 0.677
0.003 0.328 0.326
0.007 0.165 0.673
0.993 0.835 0.327
0.997 0.672 0.674
0.000 0.500 0.000
0.206 0.634 0.485
0.219 0.967 0.813
0.220 0.771 0.165
0.232 0.106 0.502
0.237 0.439 0.834
0.241 0.294 0.177
0.759 0.706 0.823
0.763 0.561 0.166
0.768 0.894 0.498
0.780 0.229 0.835
0.781 0.033 0.187
0.794 0.366 0.515
```

---

(9)
The following is a computed powder XRD pattern of Li4Mn3CoO8. It was derived from the GGA+U geometry in the Materials Project, using Cu Kα.

The 12 most intense peaks (10° ≤ 2θ ≤ 90°), most intense first:
Position (°2θ)  d_spacing  I (rel.)
18.11  4.898  100
39.94  2.257  35
44.03  2.057  25
44.20  2.049  25
33.32  2.689  21
61.25  1.513  16
36.10  2.488  12
36.23  2.479  12
46.46  1.954  12
37.10  2.423  9
60.66  1.527  8
60.87  1.522  8

Structural model:
```
Li4Mn3CoO8
1.0
2.872 0.000 0.000
1.427 2.705 0.000
1.392 -0.584 19.592
Li Mn Co O
4 3 1 8
direct
0.124 0.129 0.123
0.375 0.376 0.374
0.625 0.624 0.626
0.876 0.871 0.877
0.000 0.000 0.500
0.252 0.245 0.751
0.748 0.755 0.249
0.500 0.500 0.000
0.084 0.026 0.307
0.200 0.164 0.943
0.335 0.273 0.558
0.412 0.483 0.191
0.588 0.517 0.809
0.665 0.727 0.442
0.800 0.836 0.057
0.916 0.974 0.693
```